Starting from a structure optimized by DFT (PBE+U), the X-ray diffraction stick pattern of Na4Ni3O7 was calculated for a wavelength of 1.5418 Å.
Neutral-atom scattering factors, no anomalous dispersion.

Atomic structure:
Cell lengths 7.0045, 7.0045, 7.0045 Å; angles 69.27, 69.27, 69.27 degrees
Fractional positions:
Na1 0.0000 0.0000 0.0000
Na2 0.0760 0.7831 0.6562
Na3 0.2169 0.3438 0.9240
Na4 0.3438 0.9240 0.2169
Na5 0.5000 0.5000 0.5000
Na6 0.6562 0.0760 0.7831
Na7 0.7831 0.6562 0.0760
Na8 0.9240 0.2169 0.3438
Ni1 0.1434 0.5682 0.2908
Ni2 0.2908 0.1434 0.5682
Ni3 0.4318 0.7092 0.8566
Ni4 0.5682 0.2908 0.1434
Ni5 0.7092 0.8566 0.4318
Ni6 0.8566 0.4318 0.7092
O1 0.0059 0.8554 0.3392
O2 0.1446 0.6608 0.9941
O3 0.1636 0.4536 0.5815
O4 0.2718 0.2718 0.2718
O5 0.3392 0.0059 0.8554
O6 0.4185 0.8364 0.5464
O7 0.4536 0.5815 0.1636
O8 0.5464 0.4185 0.8364
O9 0.5815 0.1636 0.4536
O10 0.6608 0.9941 0.1446
O11 0.7282 0.7282 0.7282
O12 0.8364 0.5464 0.4185
O13 0.8554 0.3392 0.0059
O14 0.9941 0.1446 0.6608

The 10 most intense peaks (15° ≤ 2θ ≤ 90°), in order of rising 2θ:
16.8 deg, I 61
33.9 deg, I 16
34.9 deg, I 14
36.3 deg, I 34
41.5 deg, I 100
53.6 deg, I 11
58.5 deg, I 27
61.6 deg, I 27
72.3 deg, I 11
77.0 deg, I 12